[1]
Computed powder diffractogram
Compound: NaIO3
Radiation: Cu Ka
Structure: a GGA-PBE-relaxed structure

Structural model:
Cell: 5.566 7.421 8.600 Å, 90.00 90.00 90.00°
Space group Pna2_1 (No. 33)
One atom of each set of equivalent atoms:
1 Na 0.003 0.014 0.000 x4
2 I 0.025 0.496 0.755 x4
3 O 0.099 0.346 0.917 x4
4 O 0.111 0.359 0.588 x4
5 O 0.197 0.977 0.750 x4

Largest 10 diffraction maxima, most intense first, 2θ = 10–90°:
d (Å), intensity, hkl
3.093, 1000, 1 1 2
4.453, 829, 1 1 0
3.711, 534, 0 2 0
2.001, 363, 1 3 2
4.300, 321, 0 0 2
2.809, 308, 0 2 2
2.783, 196, 2 0 0
1.660, 195, 3 1 2
2.226, 180, 2 2 0
1.860, 171, 0 2 4



[2]
Computed powder diffractogram
Compound: Ag3AsO4
Radiation: Cu Ka
Structure: a GGA-PBE-relaxed structure

Structural model:
Cell: 8.8372 8.8372 10.8112 Å, 90.00 90.00 120.00°
Space group R3c (No. 161, hexagonal axes)
One atom of each set of equivalent atoms:
1 Ag 0.0897 0.4105 0.0000 x18
2 As 0.0000 0.0000 0.0892 x6
3 O 0.0000 0.0000 0.4287 x6
4 O 0.1068 0.2142 0.1433 x18

Largest 10 diffraction maxima, most intense first, 2θ = 10–90°:
d (Å), intensity, hkl
2.794, 1000, 2 1 1
2.550, 534, 1 2 2
1.669, 334, 4 1 0
1.732, 229, 1 2 5
1.363, 188, 2 1 7
3.123, 184, 2 0 2
1.160, 142, 2 5 3
1.803, 120, 0 0 6
1.562, 112, 4 0 4
1.397, 91, 4 2 2



[3]
Computed powder diffractogram
Compound: Ta4N5
Radiation: Cu Ka
Structure: a GGA-PBE-relaxed structure

Structural model:
Cell: 6.898 6.898 4.294 Å, 90.00 90.00 90.00°
Space group I4/m (No. 87)
One atom of each set of equivalent atoms:
1 Ta 0.105 0.716 0.000 x8
2 N 0.000 0.000 0.000 x2
3 N 0.092 0.693 0.500 x8

Largest 10 diffraction maxima, most intense first, 2θ = 10–90°:
d (Å), intensity, hkl
2.506, 1000, 1 2 1
2.181, 518, 3 1 0
1.530, 333, 3 1 2
3.646, 267, 1 0 1
1.314, 242, 5 0 1
2.147, 226, 0 0 2
3.449, 146, 2 0 0
1.543, 140, 2 4 0
1.253, 139, 2 4 2
1.299, 137, 1 2 3



[4]
Computed powder diffractogram
Compound: SrF3
Radiation: Cu Ka
Structure: a GGA-PBE-relaxed structure

Structural model:
Cell: 4.457 4.121 6.573 Å, 90.00 99.43 90.00°
Space group P2_1/m (No. 11)
One atom of each set of equivalent atoms:
1 Sr 0.207 0.250 0.292 x2
2 F 0.106 0.250 0.889 x2
3 F 0.249 0.750 0.530 x2
4 F 0.467 0.750 0.165 x2

Largest 10 diffraction maxima, most intense first, 2θ = 10–90°:
d (Å), intensity, hkl
3.007, 1000, 1 1 0
2.548, 921, 0 1 2
3.478, 917, 0 1 1
3.952, 908, 1 0 -1
1.938, 775, 2 1 -1
3.390, 771, 1 0 1
2.060, 657, 0 2 0
2.091, 625, 1 1 2
2.339, 557, 1 1 -2
1.856, 470, 1 1 -3